CrN2: simulated X-ray diffraction stick pattern (Cu Kα X-rays), based on a cell relaxed with GGA-PBE.
No peak broadening, texture or thermal motion is included.

Principal peaks in the range 5° ≤ 2θ ≤ 70°, in order of rising 2θ:
2θ/deg	intensity	(hkl)
19.3	92	1 1 0
19.6	100	0 1 1
31.6	14	2 0 0
32.1	50	1 2 1
32.2	14	0 0 2
37.5	8	2 1 1
37.8	10	1 3 0
50.5	18	0 1 3
57.3	8	1 2 3
67.1	8	2 4 2

Crystal structure
abc: 5.655 7.857 5.564
angles: 90.00 90.00 90.00
Space group Pna2_1 (No. 33)
One atom of each set of equivalent atoms:
Cr  0.031  0.128  0.000 (multiplicity 4)
N  0.002  0.999  0.764 (multiplicity 4)
N  0.191  0.723  0.495 (multiplicity 4)